1.
# Er6Ir2Ru
Computed powder diffractogram, CuKα. Input: a DFT-relaxed cell (GGA-PBE, Alexandria).
Lines closer than 0.1° are merged.

Principal peaks in the range 2θ = 5–70°, by angle:
Position (°2θ)  d/Å  I_rel
29.81  2.997  50
29.94  2.985  62
30.95  2.890  100
31.73  2.820  87
32.17  2.782  70
33.71  2.659  89
34.52  2.598  91
37.95  2.371  71
39.79  2.265  90
46.53  1.952  48

Crystal structure
```
Er6Ir2Ru
1.0
6.592 0.000 0.000
0.000 7.237 0.000
-6.141 0.000 9.417
Er Ir Ru
12 4 2
direct
0.079 0.038 0.242
0.079 0.462 0.742
0.228 0.667 0.074
0.228 0.833 0.574
0.393 0.172 0.069
0.393 0.328 0.569
0.607 0.672 0.431
0.607 0.828 0.931
0.772 0.167 0.426
0.772 0.333 0.926
0.921 0.538 0.258
0.921 0.962 0.758
0.318 0.133 0.779
0.318 0.367 0.279
0.682 0.633 0.721
0.682 0.867 0.221
0.500 0.000 0.500
0.500 0.500 0.000
```

=====

2.
# GaGeS4
Computed powder diffractogram, CuKα. Input: a DFT-relaxed cell (GGA-PBE, Alexandria).
Lines closer than 0.1° are merged.

Principal peaks in the range 2θ = 5–70°, by angle:
Position (°2θ)  d/Å  I_rel
10.34  8.552  100
15.61  5.679  23
16.26  5.451  26
24.49  3.635  10
25.35  3.514  12
31.10  2.876  9
31.51  2.839  15
32.86  2.725  12
42.69  2.118  11
53.30  1.719  10

Crystal structure
```
GaGeS4
1.0
0.000 6.896 10.009
6.499 0.000 10.009
6.499 6.896 0.000
Ga Ge S
4 4 16
direct
0.106 0.394 0.126
0.124 0.876 0.144
0.394 0.106 0.374
0.876 0.124 0.856
0.240 0.506 0.277
0.273 0.973 0.744
0.506 0.240 0.977
0.973 0.273 0.010
0.020 0.097 0.228
0.022 0.595 0.230
0.097 0.020 0.655
0.180 0.180 0.320
0.189 0.189 0.811
0.189 0.692 0.358
0.306 0.321 0.905
0.321 0.306 0.468
0.345 0.782 0.944
0.439 0.439 0.061
0.488 0.892 0.558
0.595 0.022 0.153
0.692 0.189 0.762
0.782 0.345 0.929
0.892 0.488 0.061
0.930 0.930 0.070
```

=====

3.
# Cs2Na5Tl
Computed powder diffractogram, CuKα. Input: a DFT-relaxed cell (GGA-PBE, Alexandria).
Lines closer than 0.1° are merged.

Principal peaks in the range 2θ = 5–70°, by angle:
Position (°2θ)  d/Å  I_rel
13.03  6.792  100
20.68  4.296  94
22.67  3.923  63
26.22  3.399  71
30.81  2.902  31
30.94  2.890  30
32.26  2.775  50
38.61  2.332  27
45.18  2.007  22
46.30  1.961  28

Crystal structure
```
Cs2Na5Tl
1.0
15.639 0.000 0.000
0.000 7.846 0.000
-3.890 0.000 6.811
Cs Na Tl
4 10 2
direct
0.000 0.000 0.000
0.000 0.500 0.494
0.500 0.000 0.494
0.500 0.500 0.000
0.116 0.000 0.613
0.262 0.271 0.031
0.262 0.729 0.031
0.265 0.271 0.492
0.265 0.729 0.492
0.616 0.500 0.613
0.762 0.229 0.031
0.762 0.771 0.031
0.765 0.229 0.492
0.765 0.771 0.492
0.354 0.000 0.852
0.854 0.500 0.852
```